(1)
Structure and calculated powder diffractogram of Y2PaSe5 (DFT lattice parameters and positions (PBE); Cu Kα (λ = 1.5418 Å)).
Neutral-atom scattering factors, no anomalous dispersion.

Most intense lines, 10° ≤ 2θ ≤ 80°, low angle first:
(hkl)	d_spacing	I (rel.)
0 2 0	6.806	94
1 1 0	5.202	89
1 1 1	4.860	100
0 2 3	3.808	64
0 2 4	3.074	53
2 0 0	2.815	90
0 4 3	2.735	75
2 4 3	1.961	57

Structural model:
```
data_Y2PaSe5
_cell_length_a 5.629
_cell_length_b 13.613
_cell_length_c 13.783
_cell_angle_alpha 90.00
_cell_angle_beta 90.00
_cell_angle_gamma 90.00
_symmetry_space_group_name_H-M 'C m c m'
_symmetry_Int_Tables_number 63
_symmetry_space_group_name_Hall '-C 2c 2'
loop_
_atom_site_label
_atom_site_fract_x
_atom_site_fract_y
_atom_site_fract_z
_atom_site_occupancy
Y1 0.000 0.147 0.054 1
Pa1 0.000 0.204 0.750 1
Se1 0.000 0.046 0.623 1
Se2 0.000 0.246 0.250 1
Se3 0.000 0.320 0.572 1
```

(2)
Structure and calculated powder diffractogram of ZrPa2Se6 (DFT lattice parameters and positions (PBE); Cu Kα (λ = 1.5418 Å)).
Neutral-atom scattering factors, no anomalous dispersion.

Most intense lines, 10° ≤ 2θ ≤ 80°, low angle first:
(hkl)	d_spacing	I (rel.)
2 0 -1	6.848	100
1 1 1	3.464	29
1 1 -2	2.901	71
6 0 0	2.882	34
3 1 -3	2.253	17
7 1 -2	2.071	39
5 1 2	2.017	24
3 1 3	1.935	15

Structural model:
```
data_ZrPa2Se6
_cell_length_a 17.949
_cell_length_b 4.068
_cell_length_c 8.279
_cell_angle_alpha 90.00
_cell_angle_beta 105.54
_cell_angle_gamma 90.00
_symmetry_space_group_name_H-M 'C 1 2/m 1'
_symmetry_Int_Tables_number 12
loop_
_symmetry_equiv_pos_as_xyz
'x,y,z'
'-x,-y,-z'
'-x,y,-z'
'x,-y,z'
'x+1/2,y+1/2,z'
'-x+1/2,-y+1/2,-z'
'-x+1/2,y+1/2,-z'
'x+1/2,-y+1/2,z'
loop_
_atom_site_label
_atom_site_fract_x
_atom_site_fract_y
_atom_site_fract_z
_atom_site_occupancy
Zr1 0.000 0.000 0.000 1
Pa1 0.161 0.500 0.321 1
Se1 0.001 0.500 0.774 1
Se2 0.158 0.000 0.083 1
Se3 0.173 0.000 0.568 1
```

(3)
Structure and calculated powder diffractogram of Pa4Si3 (DFT lattice parameters and positions (PBE); Cu Kα (λ = 1.5418 Å)).
Neutral-atom scattering factors, no anomalous dispersion.

Most intense lines, 10° ≤ 2θ ≤ 80°, low angle first:
(hkl)	d_spacing	I (rel.)
1 0 4	3.285	31
0 1 5	3.151	100
1 0 7	2.862	27
1 0 10	2.443	35
0 1 11	2.317	25
1 1 0	2.062	50
1 0 16	1.805	32
2 0 5	1.725	25

Structural model:
```
data_Pa4Si3
_cell_length_a 4.1238
_cell_length_b 4.1238
_cell_length_c 33.4910
_cell_angle_alpha 90.00
_cell_angle_beta 90.00
_cell_angle_gamma 120.00
_symmetry_space_group_name_H-M 'R -3 m'
_symmetry_Int_Tables_number 166
_symmetry_space_group_name_Hall '-R 3 2"'
loop_
_atom_site_label
_atom_site_fract_x
_atom_site_fract_y
_atom_site_fract_z
_atom_site_occupancy
Pa1 0.0000 0.0000 0.1186 1
Pa2 0.0000 0.0000 0.3085 1
Si1 0.0000 0.0000 0.4044 1
Si2 0.0000 0.0000 0.5000 1
```

(4)
Structure and calculated powder diffractogram of Pa8Si (DFT lattice parameters and positions (PBE); Cu Kα (λ = 1.5418 Å)).
Neutral-atom scattering factors, no anomalous dispersion.

Most intense lines, 10° ≤ 2θ ≤ 80°, low angle first:
(hkl)	d_spacing	I (rel.)
3 0 1	2.630	100
0 0 2	2.291	18
3 3 0	2.271	32
3 3 2	1.613	23
6 0 0	1.606	11
3 0 3	1.379	14
6 3 1	1.370	25
6 0 2	1.315	11

Structural model:
```
data_Pa8Si
_cell_length_a 9.634
_cell_length_b 9.634
_cell_length_c 4.581
_cell_angle_alpha 90.00
_cell_angle_beta 90.00
_cell_angle_gamma 90.00
_symmetry_space_group_name_H-M 'I 4/m m m'
_symmetry_Int_Tables_number 139
_symmetry_space_group_name_Hall '-I 4 2'
loop_
_atom_site_label
_atom_site_fract_x
_atom_site_fract_y
_atom_site_fract_z
_atom_site_occupancy
Pa1 0.000 0.323 0.000 1
Pa2 0.157 0.157 0.500 1
Si1 0.000 0.000 0.000 1
```

(5)
Structure and calculated powder diffractogram of Pa5Si6 (DFT lattice parameters and positions (PBE); Cu Kα (λ = 1.5418 Å)).
Neutral-atom scattering factors, no anomalous dispersion.

Most intense lines, 10° ≤ 2θ ≤ 80°, low angle first:
(hkl)	d_spacing	I (rel.)
0 2 1	3.904	34
1 5 0	3.250	79
0 10 0	2.799	25
1 3 1	2.725	100
0 8 1	2.652	61
1 5 2	1.724	27
1 13 1	1.718	28
2 8 1	1.595	27

Structural model:
```
data_Pa5Si6
_cell_length_a 3.993
_cell_length_b 27.986
_cell_length_c 4.066
_cell_angle_alpha 90.00
_cell_angle_beta 90.00
_cell_angle_gamma 90.00
_symmetry_space_group_name_H-M 'C m m m'
_symmetry_Int_Tables_number 65
_symmetry_space_group_name_Hall '-C 2 2'
loop_
_atom_site_label
_atom_site_fract_x
_atom_site_fract_y
_atom_site_fract_z
_atom_site_occupancy
Pa1 0.000 0.000 0.000 1
Pa2 0.000 0.197 0.500 1
Pa3 0.000 0.384 0.000 1
Si1 0.000 0.091 0.500 1
Si2 0.000 0.279 0.000 1
Si3 0.000 0.459 0.500 1
```

(6)
Structure and calculated powder diffractogram of Pa2Ta3Si4 (DFT lattice parameters and positions (PBE); Cu Kα (λ = 1.5418 Å)).
Neutral-atom scattering factors, no anomalous dispersion.

Most intense lines, 10° ≤ 2θ ≤ 80°, low angle first:
(hkl)	d_spacing	I (rel.)
0 2 1	3.106	51
1 1 -2	3.073	58
1 2 -1	3.007	43
2 2 -1	2.476	100
1 1 2	2.441	99
2 2 0	2.422	57
3 0 0	2.216	90
1 1 -3	2.191	58

Structural model:
```
data_Pa2Ta3Si4
_cell_length_a 7.059
_cell_length_b 7.068
_cell_length_c 6.915
_cell_angle_alpha 90.00
_cell_angle_beta 109.59
_cell_angle_gamma 90.00
_symmetry_space_group_name_H-M 'P 1 21/c 1'
_symmetry_Int_Tables_number 14
loop_
_symmetry_equiv_pos_as_xyz
'x,y,z'
'-x,-y,-z'
'-x,y+1/2,-z+1/2'
'x,-y+1/2,z+1/2'
loop_
_atom_site_label
_atom_site_fract_x
_atom_site_fract_y
_atom_site_fract_z
_atom_site_occupancy
Pa1 0.188 0.168 0.062 1
Ta1 0.249 0.671 0.248 1
Ta2 0.500 0.000 0.500 1
Si1 0.083 0.542 0.864 1
Si2 0.498 0.128 0.870 1
```

(7)
Structure and calculated powder diffractogram of Pa5Si5Tc2 (DFT lattice parameters and positions (PBE); Cu Kα (λ = 1.5418 Å)).
Neutral-atom scattering factors, no anomalous dispersion.

Most intense lines, 10° ≤ 2θ ≤ 80°, low angle first:
(hkl)	d_spacing	I (rel.)
0 1 2	3.824	29
1 0 4	3.648	61
0 1 5	3.530	31
1 0 10	2.856	27
0 1 11	2.727	72
1 0 13	2.487	46
1 1 0	2.245	100
1 1 15	1.753	26

Structural model:
```
data_Pa5Si5Tc2
_cell_length_a 4.4908
_cell_length_b 4.4908
_cell_length_c 42.0645
_cell_angle_alpha 90.00
_cell_angle_beta 90.00
_cell_angle_gamma 120.00
_symmetry_space_group_name_H-M 'R -3 m'
_symmetry_Int_Tables_number 166
_symmetry_space_group_name_Hall '-R 3 2"'
loop_
_atom_site_label
_atom_site_fract_x
_atom_site_fract_y
_atom_site_fract_z
_atom_site_occupancy
Pa1 0.0000 0.0000 0.0000 1
Pa2 0.0000 0.0000 0.1970 1
Pa3 0.0000 0.0000 0.2712 1
Si1 0.0000 0.0000 0.1008 1
Si2 0.0000 0.0000 0.3644 1
Si3 0.0000 0.0000 0.5000 1
Tc1 0.0000 0.0000 0.4303 1
```

(8)
Structure and calculated powder diffractogram of Pa2Si4Tc3 (DFT lattice parameters and positions (PBE); Cu Kα (λ = 1.5418 Å)).
Neutral-atom scattering factors, no anomalous dispersion.

Most intense lines, 10° ≤ 2θ ≤ 80°, low angle first:
(hkl)	d_spacing	I (rel.)
1 1 0	4.637	24
1 1 -2	3.056	23
1 2 -1	2.892	30
2 1 -2	2.614	36
1 2 1	2.554	33
2 2 -1	2.387	100
1 1 -3	2.191	30
0 3 1	2.122	35

Structural model:
```
data_Pa2Si4Tc3
_cell_length_a 6.835
_cell_length_b 6.737
_cell_length_c 6.950
_cell_angle_alpha 90.00
_cell_angle_beta 110.76
_cell_angle_gamma 90.00
_symmetry_space_group_name_H-M 'P 1 21/c 1'
_symmetry_Int_Tables_number 14
loop_
_symmetry_equiv_pos_as_xyz
'x,y,z'
'-x,-y,-z'
'-x,y+1/2,-z+1/2'
'x,-y+1/2,z+1/2'
loop_
_atom_site_label
_atom_site_fract_x
_atom_site_fract_y
_atom_site_fract_z
_atom_site_occupancy
Pa1 0.189 0.164 0.049 1
Si1 0.106 0.563 0.877 1
Si2 0.482 0.651 0.635 1
Tc1 0.238 0.634 0.259 1
Tc2 0.500 0.000 0.500 1
```